1.
Starting from DFT lattice parameters and positions (PBE), the powder X-ray diffraction pattern of Li2ZrCr was computed for Cu Ka.
Intensities are scaled so that the largest is 100.

abc: 3.766 3.766 4.981
angles: 90.00 90.00 90.00
Positions (direct):
Li: 0.000 0.500 0.000
Li: 0.500 0.000 0.000
Zr: 0.000 0.000 0.500
Cr: 0.500 0.500 0.500

Peak list (6 most intense, 2θ = 10–90°, low angle first)
| Position (°2θ) | d [Å] | I/Imax |
| --- | --- | --- |
| 17.8 | 4.981 | 100.0 |
| 33.7 | 2.663 | 39.8 |
| 36.1 | 2.490 | 21.6 |
| 38.3 | 2.348 | 72.6 |
| 50.2 | 1.819 | 24.2 |
| 51.9 | 1.761 | 21.7 |

2.
Starting from DFT lattice parameters and positions (PBE), the powder X-ray diffraction pattern of Li2Eu5O8 was computed for Cu Ka.
Intensities are scaled so that the largest is 100.

abc: 7.069 7.069 9.729
angles: 118.72 118.72 28.80
Positions (direct):
Li: 0.192 0.192 0.265
Li: 0.808 0.808 0.735
Eu: 0.169 0.169 0.815
Eu: 0.391 0.391 0.567
Eu: 0.500 0.500 0.000
Eu: 0.609 0.609 0.433
Eu: 0.831 0.831 0.185
O: 0.041 0.041 0.221
O: 0.183 0.183 0.066
O: 0.235 0.235 0.616
O: 0.420 0.420 0.344
O: 0.580 0.580 0.656
O: 0.765 0.765 0.384
O: 0.817 0.817 0.934
O: 0.959 0.959 0.779

Peak list (6 most intense, 2θ = 10–90°, low angle first)
| Position (°2θ) | d [Å] | I/Imax |
| --- | --- | --- |
| 26.4 | 3.376 | 100.0 |
| 27.5 | 3.242 | 72.3 |
| 29.9 | 2.990 | 63.6 |
| 31.5 | 2.839 | 99.2 |
| 32.1 | 2.785 | 51.7 |
| 36.4 | 2.471 | 31.3 |

3.
Starting from DFT lattice parameters and positions (PBE), the powder X-ray diffraction pattern of Ba2Tl2TeO6 was computed for Cu Ka.
Intensities are scaled so that the largest is 100.

abc: 6.545 6.545 6.436
angles: 97.08 97.08 118.29
Positions (direct):
Ba: 0.165 0.835 0.000
Ba: 0.835 0.165 0.000
Tl: 0.344 0.656 0.500
Tl: 0.656 0.344 0.500
Te: 0.500 0.500 0.000
O: 0.199 0.450 0.841
O: 0.323 0.323 0.214
O: 0.450 0.199 0.841
O: 0.550 0.801 0.159
O: 0.677 0.677 0.786
O: 0.801 0.550 0.159

Peak list (6 most intense, 2θ = 10–90°, low angle first)
| Position (°2θ) | d [Å] | I/Imax |
| --- | --- | --- |
| 15.7 | 5.636 | 57.6 |
| 27.4 | 3.259 | 58.5 |
| 28.6 | 3.124 | 52.9 |
| 29.4 | 3.034 | 91.4 |
| 32.6 | 2.750 | 100.0 |
| 34.7 | 2.587 | 44.6 |

4.
Starting from DFT lattice parameters and positions (PBE), the powder X-ray diffraction pattern of TbTlAgPb was computed for Cu Ka.
Intensities are scaled so that the largest is 100.

abc: 4.488 4.638 4.839
angles: 90.00 90.00 90.00
Positions (direct):
Tb: 0.000 0.000 0.000
Tl: 0.500 0.000 0.500
Ag: 0.000 0.500 0.500
Pb: 0.500 0.500 0.000

Peak list (6 most intense, 2θ = 10–90°, low angle first)
| Position (°2θ) | d [Å] | I/Imax |
| --- | --- | --- |
| 33.4 | 2.684 | 100.0 |
| 37.2 | 2.419 | 18.8 |
| 38.8 | 2.319 | 16.6 |
| 40.2 | 2.244 | 15.1 |
| 64.6 | 1.443 | 15.0 |
| 66.9 | 1.399 | 13.5 |